1.
Diffraction record for NbPdS. The powder diffractogram is computed, not measured: it uses a GGA-PBE-relaxed structure and CuKα.
No peak broadening, texture or thermal motion is included.

Crystal structure
```
NbPdS
1.0
3.064 0.000 0.000
0.000 1.539 5.273
0.000 -1.539 5.273
Nb Pd S
1 1 1
direct
0.000 0.000 0.000 Nb
0.500 0.320 0.320 Pd
0.500 0.621 0.621 S
```

Most intense lines, 10 to 90 degrees two-theta, low angle first:
2θ (°)  d_spacing  I_rel
16.81  5.273  25.1
30.26  2.954  24.1
33.83  2.649  83.2
34.00  2.637  19.6
38.90  2.315  100.0
42.51  2.127  98.6
45.38  1.999  41.5
52.03  1.758  16.9
61.27  1.513  27.0
70.82  1.330  18.6
74.22  1.278  28.3
78.45  1.219  15.9

***

2.
Diffraction record for Nb3PdS4. The powder diffractogram is computed, not measured: it uses a GGA-PBE-relaxed structure and CuKα.
No peak broadening, texture or thermal motion is included.

Crystal structure
```
Nb3PdS4
1.0
6.769 0.000 0.000
0.000 6.788 0.000
0.000 0.000 6.474
Nb Pd S
6 2 8
direct
0.000 0.227 0.000 Nb
0.240 0.617 0.881 Nb
0.260 0.383 0.381 Nb
0.500 0.773 0.500 Nb
0.740 0.383 0.381 Nb
0.760 0.617 0.881 Nb
0.000 0.763 0.510 Pd
0.500 0.237 0.010 Pd
0.000 0.124 0.353 S
0.000 0.883 0.854 S
0.248 0.293 0.746 S
0.252 0.707 0.246 S
0.500 0.117 0.354 S
0.500 0.876 0.853 S
0.748 0.707 0.246 S
0.752 0.293 0.746 S
```

Most intense lines, 10 to 90 degrees two-theta, low angle first:
2θ (°)  d_spacing  I_rel
18.94  4.685  28.0
26.26  3.394  33.2
27.55  3.237  39.8
29.49  3.029  48.2
32.64  2.743  100.0
38.47  2.340  41.6
40.12  2.247  30.2
40.80  2.212  24.8
42.31  2.136  47.3
44.03  2.057  42.8
47.19  1.926  30.8
57.46  1.604  23.8

***

3.
Diffraction record for Nb2PdS5. The powder diffractogram is computed, not measured: it uses a GGA-PBE-relaxed structure and CuKα.
No peak broadening, texture or thermal motion is included.

Crystal structure
```
Nb2PdS5
1.0
6.286 -1.654 0.000
6.286 1.654 0.000
-4.537 0.000 15.023
Nb Pd S
4 2 10
direct
0.070 0.070 0.181 Nb
0.354 0.354 0.624 Nb
0.646 0.646 0.376 Nb
0.930 0.930 0.819 Nb
0.500 0.500 0.000 Pd
0.500 0.500 0.500 Pd
0.004 0.004 0.689 S
0.147 0.147 0.504 S
0.244 0.244 0.306 S
0.331 0.331 0.886 S
0.421 0.421 0.119 S
0.579 0.579 0.881 S
0.669 0.669 0.114 S
0.756 0.756 0.694 S
0.853 0.853 0.496 S
0.996 0.996 0.311 S
```

Most intense lines, 10 to 90 degrees two-theta, low angle first:
2θ (°)  d_spacing  I_rel
14.19  6.243  100.0
14.72  6.017  49.5
31.29  2.858  52.9
32.09  2.789  26.1
34.59  2.593  28.6
35.86  2.504  16.8
38.84  2.319  67.1
39.32  2.292  50.6
43.65  2.074  16.5
48.54  1.876  15.5
55.56  1.654  16.8
58.95  1.567  15.3

***

4.
Diffraction record for NbPdS. The powder diffractogram is computed, not measured: it uses a GGA-PBE-relaxed structure and CuKα.
No peak broadening, texture or thermal motion is included.

Crystal structure
```
NbPdS
1.0
3.025 0.000 0.000
0.000 3.025 0.000
0.000 0.000 5.721
Nb Pd S
1 1 1
direct
0.000 0.000 0.000 Nb
0.500 0.500 0.674 Pd
0.500 0.500 0.238 S
```

Most intense lines, 10 to 90 degrees two-theta, low angle first:
2θ (°)  d_spacing  I_rel
15.49  5.721  41.5
31.27  2.861  10.8
33.51  2.674  100.0
42.25  2.139  59.2
43.54  2.078  87.0
45.26  2.004  11.3
47.69  1.907  14.4
61.29  1.512  19.0
65.58  1.423  21.6
71.69  1.316  21.1
78.16  1.223  29.7
81.17  1.185  11.7

***

5.
Diffraction record for Nb2Pd2S3. The powder diffractogram is computed, not measured: it uses a GGA-PBE-relaxed structure and CuKα.
No peak broadening, texture or thermal motion is included.

Crystal structure
```
Nb2Pd2S3
1.0
3.272 0.000 0.000
-0.016 6.196 0.000
-1.598 -1.370 6.004
Nb Pd S
2 2 3
direct
0.126 0.382 0.253 Nb
0.874 0.618 0.747 Nb
0.445 0.292 0.881 Pd
0.555 0.708 0.119 Pd
0.000 0.000 0.000 S
0.257 0.757 0.505 S
0.743 0.243 0.495 S
```

Most intense lines, 10 to 90 degrees two-theta, low angle first:
2θ (°)  d_spacing  I_rel
14.70  6.028  100.0
29.58  3.020  19.6
35.33  2.541  11.7
36.26  2.478  41.0
36.36  2.471  67.3
36.59  2.456  66.6
42.62  2.121  54.8
44.14  2.052  25.2
45.02  2.014  12.3
48.66  1.871  27.2
51.18  1.785  11.6
56.23  1.636  18.5

***

6.
Diffraction record for Nb6PdS8. The powder diffractogram is computed, not measured: it uses a GGA-PBE-relaxed structure and CuKα.
No peak broadening, texture or thermal motion is included.

Crystal structure
```
Nb6PdS8
1.0
4.870 2.812 3.677
-4.870 2.812 3.677
0.000 -5.623 3.677
Nb Pd S
6 1 8
direct
0.201 0.401 0.542 Nb
0.401 0.542 0.201 Nb
0.458 0.799 0.599 Nb
0.542 0.201 0.401 Nb
0.599 0.458 0.799 Nb
0.799 0.599 0.458 Nb
0.000 0.000 0.000 Pd
0.140 0.728 0.395 S
0.211 0.211 0.211 S
0.272 0.605 0.860 S
0.395 0.140 0.728 S
0.605 0.860 0.272 S
0.728 0.395 0.140 S
0.789 0.789 0.789 S
0.860 0.272 0.605 S
```

Most intense lines, 10 to 90 degrees two-theta, low angle first:
2θ (°)  d_spacing  I_rel
13.21  6.701  100.0
18.22  4.870  37.7
22.57  3.939  41.3
24.20  3.677  40.7
29.16  3.063  82.7
32.44  2.760  60.7
39.37  2.288  78.8
41.95  2.154  47.3
42.34  2.135  39.6
43.38  2.086  39.9
44.63  2.030  71.1
49.95  1.826  25.7